Starting from a PBE+U-relaxed structure, the powder diffractogram of Ca5WN4O2 was simulated for Cu Kα X-rays.
Neutral-atom scattering factors, no anomalous dispersion.

Most intense lines, 10 to 90 degrees two-theta, in order of rising 2θ:
2θ = 16.68°, 5.315 Å, intensity 84
2θ = 17.64°, 5.028 Å, intensity 40
2θ = 19.48°, 4.556 Å, intensity 61
2θ = 24.65°, 3.611 Å, intensity 31
2θ = 31.48°, 2.841 Å, intensity 51
2θ = 31.97°, 2.799 Å, intensity 92
2θ = 36.40°, 2.468 Å, intensity 33
2θ = 36.69°, 2.450 Å, intensity 100
2θ = 37.03°, 2.428 Å, intensity 32
2θ = 53.13°, 1.724 Å, intensity 64

Cell and atoms:
Cell: 6.139 6.799 8.526 Å, 90.00 91.11 90.00°
Space group P2_1/m (No. 11)
One atom of each set of equivalent atoms:
Ca1 0.000 0.000 0.000 [2 per cell]
Ca2 0.196 0.250 0.330 [2 per cell]
Ca3 0.267 0.010 0.666 [4 per cell]
Ca4 0.499 0.750 0.984 [2 per cell]
W1 0.281 0.750 0.322 [2 per cell]
N1 0.027 0.750 0.447 [2 per cell]
N2 0.334 0.524 0.190 [4 per cell]
N3 0.494 0.250 0.525 [2 per cell]
O1 0.153 0.750 0.829 [2 per cell]
O2 0.192 0.250 0.872 [2 per cell]